For MgCu2Si2O6, a crystal structure in the Materials Project, relaxed with GGA-PBE gives the calculated XRD peak list in this record (λ = 1.5418 Å (Cu Kα)).

Peak list (10 most intense, 2θ from 10° to 90°, low angle first)
h k l  d/Å  2θ/deg  Rel. int.
1 0 1  4.615  19.23  77
0 0 2  4.211  21.10  50
1 0 -2  3.551  25.07  92
1 0 2  3.287  27.13  100
2 0 0  2.909  30.73  35
1 1 0  2.616  34.28  34
0 1 2  2.404  37.40  55
0 0 4  2.106  42.95  36
2 1 0  2.064  43.86  85
2 1 -2  1.897  47.95  29

Cell and atoms:
```
data_MgCu2Si2O6
_chemical_formula_sum 'Mg1 Cu2 Si2 O6'
_cell_length_a 5.838
_cell_length_b 2.929
_cell_length_c 8.451
_cell_angle_alpha 90.00
_cell_angle_beta 94.66
_cell_angle_gamma 90.00
_space_group_name_H-M_alt 'P 1'
_space_group_IT_number 1
loop_
_space_group_symop_operation_xyz
'x,y,z'
loop_
_atom_site_label
_atom_site_type_symbol
_atom_site_fract_x
_atom_site_fract_y
_atom_site_fract_z
Mg1 Mg 0.000 0.000 0.000
Cu1 Cu 0.500 0.000 0.000
Cu2 Cu 0.500 0.000 0.500
Si1 Si 0.135 0.500 0.732
Si2 Si 0.865 0.500 0.268
O1 O 0.021 0.000 0.268
O2 O 0.219 0.500 0.930
O3 O 0.321 0.500 0.606
O4 O 0.679 0.500 0.394
O5 O 0.781 0.500 0.070
O6 O 0.979 0.000 0.732
```